Calculated powder diffraction line list of La2Tb9Sc for copper Kα, from a cell relaxed with GGA-PBE.
No peak broadening, texture or thermal motion is included.

Most intense lines, 2θ from 10° to 90°, sorted by position:
d (Å)  I_rel  hkl
2.915  1000  1 1 3
2.525  504  2 0 0
1.785  353  2 2 0
1.523  415  3 1 3
1.458  119  2 2 6
1.158  167  3 3 3
1.129  109  4 2 0
1.128  47  2 0 12

Cell and atoms:
```
La2Tb9Sc
1.0
5.052 0.000 0.000
0.000 5.052 0.000
0.000 0.000 15.135
La Tb Sc
2 9 1
Direct
0.000 0.000 0.168
0.000 0.000 0.832
0.000 0.500 0.000
0.000 0.500 0.341
0.000 0.500 0.659
0.500 0.000 0.000
0.500 0.000 0.341
0.500 0.000 0.659
0.500 0.500 0.171
0.500 0.500 0.500
0.500 0.500 0.829
0.000 0.000 0.500
```